# 1
Starting from a GGA-PBE-relaxed structure, the powder XRD pattern of CeTh3 was simulated for Cu Kα, 1.54184 Å.
Lines closer than 0.1° are merged.

Top 10 peaks for 5 to 70 degrees two-theta, sorted by position:
Position (°2θ)	d [Å]	I/Imax	index
17.8	4.991	3	1 0 0
25.2	3.529	3	1 1 0
31.0	2.881	100	1 1 1
36.0	2.495	51	2 0 0
40.4	2.232	2	2 1 0
44.5	2.037	1	2 1 1
51.8	1.764	37	2 2 0
55.2	1.664	1	3 0 0
61.6	1.505	44	3 1 1
64.7	1.441	13	2 2 2

Cell and atoms:
```
data_CeTh3
_chemical_formula_sum 'Ce1 Th3'
_cell_length_a 4.9906
_cell_length_b 4.9906
_cell_length_c 4.9906
_cell_angle_alpha 90.00
_cell_angle_beta 90.00
_cell_angle_gamma 90.00
_symmetry_space_group_name_H-M 'P m -3 m'
_symmetry_Int_Tables_number 221
_symmetry_space_group_name_Hall '-P 4 2 3'
loop_
_atom_site_label
_atom_site_type_symbol
_atom_site_fract_x
_atom_site_fract_y
_atom_site_fract_z
Ce1 Ce 0.0000 0.0000 0.0000
Th1 Th 0.0000 0.5000 0.5000
```

***

# 2
Starting from a GGA-PBE-relaxed structure, the powder XRD pattern of Zr2VNi3 was simulated for Cu Kα, 1.54184 Å.
Lines closer than 0.1° are merged.

Top 10 peaks for 5 to 70 degrees two-theta, sorted by position:
Position (°2θ)	d [Å]	I/Imax	index
35.7	2.515	36	1 1 0
36.4	2.467	47	1 0 4
42.2	2.143	58	0 2 1
42.5	2.128	100	1 1 3
43.1	2.098	37	0 1 5
44.3	2.047	36	2 0 2
45.5	1.995	16	0 0 6
64.6	1.442	17	2 1 4
68.8	1.364	22	3 0 3
69.3	1.357	16	1 2 5

Cell and atoms:
```
data_Zr2VNi3
_chemical_formula_sum 'Zr6 V3 Ni9'
_cell_length_a 5.0296
_cell_length_b 5.0296
_cell_length_c 11.9716
_cell_angle_alpha 90.00
_cell_angle_beta 90.00
_cell_angle_gamma 120.00
_symmetry_space_group_name_H-M 'R -3 m'
_symmetry_Int_Tables_number 166
_symmetry_space_group_name_Hall '-R 3 2"'
loop_
_atom_site_label
_atom_site_type_symbol
_atom_site_fract_x
_atom_site_fract_y
_atom_site_fract_z
Zr1 Zr 0.0000 0.0000 0.1298
V1 V 0.0000 0.0000 0.5000
Ni1 Ni 0.0000 0.5000 0.0000
```

***

# 3
Starting from a GGA-PBE-relaxed structure, the powder XRD pattern of Ce2Si5Rh3 was simulated for Cu Kα, 1.54184 Å.
Lines closer than 0.1° are merged.

Top 10 peaks for 5 to 70 degrees two-theta, sorted by position:
Position (°2θ)	d [Å]	I/Imax	index
24.6	3.616	31	1 3 0
30.5	2.930	21	0 0 2
30.7	2.912	20	0 4 0
34.7	2.588	100	3 2 1
35.5	2.525	47	2 0 2
35.7	2.514	41	2 4 0
43.8	2.066	62	0 4 2
50.9	1.794	23	5 2 1
56.9	1.617	24	3 2 3
57.2	1.611	20	3 6 1

Cell and atoms:
```
data_Ce2Si5Rh3
_chemical_formula_sum 'Ce8 Si20 Rh12'
_cell_length_a 9.9595
_cell_length_b 11.6499
_cell_length_c 5.8607
_cell_angle_alpha 90.00
_cell_angle_beta 90.00
_cell_angle_gamma 90.00
_symmetry_space_group_name_H-M 'I b a m'
_symmetry_Int_Tables_number 72
_symmetry_space_group_name_Hall '-I 2 2c'
loop_
_atom_site_label
_atom_site_type_symbol
_atom_site_fract_x
_atom_site_fract_y
_atom_site_fract_z
Ce1 Ce 0.2317 0.1322 0.0000
Si1 Si 0.0000 0.0000 0.2500
Si2 Si 0.0000 0.2750 0.2500
Si3 Si 0.1526 0.3928 0.0000
Rh1 Rh 0.0000 0.5000 0.2500
Rh2 Rh 0.1118 0.1383 0.5000
```

***

# 4
Starting from a GGA-PBE-relaxed structure, the powder XRD pattern of VRu was simulated for Cu Kα, 1.54184 Å.
Lines closer than 0.1° are merged.

Top 5 peaks for 5 to 70 degrees two-theta, sorted by position:
Position (°2θ)	d [Å]	I/Imax	index
29.6	3.015	16	1 0 0
42.4	2.132	100	1 1 0
52.6	1.741	5	1 1 1
61.5	1.507	16	2 0 0
69.8	1.348	6	2 1 0

Cell and atoms:
```
data_VRu
_chemical_formula_sum 'V1 Ru1'
_cell_length_a 3.0147
_cell_length_b 3.0147
_cell_length_c 3.0147
_cell_angle_alpha 90.00
_cell_angle_beta 90.00
_cell_angle_gamma 90.00
_symmetry_space_group_name_H-M 'P m -3 m'
_symmetry_Int_Tables_number 221
_symmetry_space_group_name_Hall '-P 4 2 3'
loop_
_atom_site_label
_atom_site_type_symbol
_atom_site_fract_x
_atom_site_fract_y
_atom_site_fract_z
V1 V 0.0000 0.0000 0.0000
Ru1 Ru 0.5000 0.5000 0.5000
```

***

# 5
Starting from a GGA-PBE-relaxed structure, the powder XRD pattern of ZnCdSeS was simulated for Cu Kα, 1.54184 Å.
Lines closer than 0.1° are merged.

Top 10 peaks for 5 to 70 degrees two-theta, sorted by position:
Position (°2θ)	d [Å]	I/Imax	index
13.0	6.828	28	0 0 1
25.0	3.557	92	1 0 0
26.1	3.414	46	0 0 2
28.3	3.155	100	1 0 1
36.5	2.463	53	1 0 2
44.1	2.054	77	1 1 0
47.4	1.917	83	0 1 3
52.0	1.760	39	1 1 2
53.2	1.721	17	0 2 1
66.7	1.401	28	2 0 3

Cell and atoms:
```
data_ZnCdSeS
_chemical_formula_sum 'Zn1 Cd1 Se1 S1'
_cell_length_a 4.1075
_cell_length_b 4.1075
_cell_length_c 6.8276
_cell_angle_alpha 90.00
_cell_angle_beta 90.00
_cell_angle_gamma 120.00
_symmetry_space_group_name_H-M 'P 3 m 1'
_symmetry_Int_Tables_number 156
_symmetry_space_group_name_Hall 'P 3 -2"'
loop_
_atom_site_label
_atom_site_type_symbol
_atom_site_fract_x
_atom_site_fract_y
_atom_site_fract_z
Zn1 Zn 0.0000 0.0000 0.0000
Cd1 Cd 0.6667 0.3333 0.5275
Se1 Se 0.0000 0.0000 0.3641
S1 S 0.6667 0.3333 0.9025
```

***

# 6
Starting from a GGA-PBE-relaxed structure, the powder XRD pattern of Fe3S was simulated for Cu Kα, 1.54184 Å.
Lines closer than 0.1° are merged.

Top 10 peaks for 5 to 70 degrees two-theta, sorted by position:
Position (°2θ)	d [Å]	I/Imax	index
19.8	4.475	5	1 0 0
29.0	3.083	4	1 0 1
34.7	2.584	2	1 1 0
40.3	2.237	25	2 0 0
42.5	2.127	28	0 0 2
45.8	1.980	100	2 0 1
47.3	1.921	1	1 0 2
56.0	1.642	1	1 1 2
58.7	1.572	3	2 1 1
60.0	1.542	14	2 0 2

Cell and atoms:
```
data_Fe3S
_chemical_formula_sum 'Fe6 S2'
_cell_length_a 5.1672
_cell_length_b 5.1672
_cell_length_c 4.2547
_cell_angle_alpha 90.00
_cell_angle_beta 90.00
_cell_angle_gamma 120.00
_symmetry_space_group_name_H-M 'P 63/m m c'
_symmetry_Int_Tables_number 194
_symmetry_space_group_name_Hall '-P 6c 2c'
loop_
_atom_site_label
_atom_site_type_symbol
_atom_site_fract_x
_atom_site_fract_y
_atom_site_fract_z
Fe1 Fe 0.1618 0.3235 0.2500
S1 S 0.3333 0.6667 0.7500
```